No. 1
For CrInSbCl6, DFT lattice parameters and positions (PBE) gives the calculated powder diffraction line list in this record (Cu Kα (λ = 1.5418 Å)).
Kinematic intensities with the Lorentz-polarization factor, no thermal factor.

The 10 most intense peaks (2θ = 15–90°), sorted by position:
two_theta, I/Imax
19.02, 94.8
19.88, 100.0
20.09, 79.4
26.14, 31.1
29.57, 25.9
31.80, 26.1
35.29, 42.4
36.44, 38.8
37.63, 75.0
45.23, 44.7

Crystal structure
```
CrInSbCl6
1.0
6.820 0.000 0.000
-3.214 6.028 0.000
-0.233 -0.375 6.912
Cr In Sb Cl
1 1 1 6
Direct
0.000 0.000 0.000
0.663 0.337 0.500
0.338 0.662 0.000
0.018 0.731 0.785
0.029 0.317 0.188
0.271 0.983 0.214
0.311 0.352 0.766
0.650 0.688 0.232
0.682 0.970 0.812
```

=====

No. 2
For AcCd3Sb3, DFT lattice parameters and positions (PBE) gives the calculated powder diffraction line list in this record (Cu Kα (λ = 1.5418 Å)).
Kinematic intensities with the Lorentz-polarization factor, no thermal factor.

The 10 most intense peaks (2θ = 15–90°), sorted by position:
two_theta, I/Imax
24.42, 78.7
31.66, 100.0
37.71, 93.4
41.22, 42.7
50.04, 28.2
52.19, 22.0
57.10, 15.6
64.32, 24.7
68.09, 15.3
70.47, 16.0

Crystal structure
```
AcCd3Sb3
1.0
4.131 2.385 7.748
-4.131 2.385 7.748
0.000 -4.770 7.748
Ac Cd Sb
2 6 6
Direct
0.166 0.166 0.166
0.834 0.834 0.834
0.032 0.378 0.723
0.277 0.968 0.622
0.378 0.723 0.032
0.622 0.277 0.968
0.723 0.032 0.378
0.968 0.622 0.277
0.096 0.742 0.420
0.258 0.580 0.904
0.420 0.096 0.742
0.580 0.904 0.258
0.742 0.420 0.096
0.904 0.258 0.580
```

=====

No. 3
For Ac4PmSe7, DFT lattice parameters and positions (PBE) gives the calculated powder diffraction line list in this record (Cu Kα (λ = 1.5418 Å)).
Kinematic intensities with the Lorentz-polarization factor, no thermal factor.

The 10 most intense peaks (2θ = 15–90°), sorted by position:
two_theta, I/Imax
21.53, 100.0
21.95, 66.9
27.76, 44.4
28.14, 44.6
29.26, 66.2
30.32, 55.8
32.40, 31.7
37.73, 55.2
41.12, 40.2
41.86, 79.8

Crystal structure
```
Ac4PmSe7
1.0
7.277 -2.157 0.000
7.277 2.157 0.000
-3.384 0.000 12.354
Ac Pm Se
4 1 7
Direct
0.000 0.000 0.000
0.196 0.196 0.769
0.592 0.592 0.378
0.893 0.893 0.566
0.776 0.776 0.146
0.160 0.160 0.220
0.232 0.232 0.522
0.374 0.374 0.062
0.554 0.554 0.622
0.630 0.630 0.929
0.851 0.851 0.785
0.932 0.932 0.343
```

=====

Question: What is the formula in the third record?
Answer: Ac4PmSe7

=====

Question: Which formula does entry 3 have?
Answer: Ac4PmSe7